For Tm6Mn23, the GGA-PBE geometry in Alexandria gives the calculated PXRD pattern in this record (copper Kα).
Neutral-atom scattering factors, no anomalous dispersion.

Most intense lines, 2θ from 10° to 80°, by angle:
- 2θ 25.9, intensity 32.9, (2 2 2)
- 2θ 32.8, intensity 31.3, (3 3 1)
- 2θ 37.0, intensity 35.8, (4 2 2)
- 2θ 39.3, intensity 100.0, (3 3 3)
- 2θ 43.0, intensity 92.8, (4 4 0)
- 2θ 66.6, intensity 28.1, (8 2 2)

Atomic structure:
Lattice parameters (Å, degrees): 11.9121 11.9121 11.9121 90.00 90.00 90.00
Space group Fm-3m (No. 225)
Symmetry-distinct sites (fractional):
Tm 0.0000 0.0000 0.2048 (multiplicity 24)
Mn 0.0000 0.0000 0.5000 (multiplicity 4)
Mn 0.0000 0.2500 0.2500 (multiplicity 24)
Mn 0.1217 0.1217 0.3783 (multiplicity 32)
Mn 0.1769 0.1769 0.1769 (multiplicity 32)